No. 1
The following is a computed powder X-ray diffraction pattern of NaCu2PO4. It was derived from a DFT-relaxed cell (GGA-PBE, Alexandria), using Cu Kα, 1.54184 Å.
Peak positions follow from Bragg's law for the DFT cell and can differ from measured ones.

Principal peaks in the range 2θ from 10° to 90°, low angle first:
d_spacing	2θ (°)	I_rel
3.972	22.39	17
2.630	34.10	90
2.603	34.46	100
2.459	36.55	43
2.090	43.28	20
1.754	52.14	16
1.722	53.18	20
1.545	59.87	48
1.455	64.00	25
1.441	64.68	23

Structural model:
```
8
Lattice="0.0000 3.5087 3.9716 3.4459 0.0000 3.9716 3.4459 3.5087 0.0000" Properties=species:S:1:pos:R:3 pbc="T T T"
Na 0.0000 0.0000 0.0000
Cu 1.7229 1.7544 1.9738
Cu 5.1688 5.2631 5.9454
P 3.4459 3.5087 4.0411
O 3.4459 2.2227 3.1589
O 4.7291 3.5087 4.9460
O 3.4459 4.7947 3.1589
O 2.1626 3.5087 4.9460
```

No. 2
The following is a computed powder X-ray diffraction pattern of NaCuPO4. It was derived from a DFT-relaxed cell (GGA-PBE, Alexandria), using Cu Kα, 1.54184 Å.
Peak positions follow from Bragg's law for the DFT cell and can differ from measured ones.

Principal peaks in the range 2θ from 10° to 90°, low angle first:
d_spacing	2θ (°)	I_rel
4.513	19.67	27
4.397	20.20	50
3.262	27.34	27
2.941	30.39	99
2.765	32.38	83
2.583	34.74	100
2.571	34.90	32
2.517	35.67	28
1.896	47.98	28
1.756	52.08	24

Structural model:
```
28
Lattice="5.0977 0.0000 0.0000 0.0000 9.0257 0.0000 -3.9846 0.0000 6.9963" Properties=species:S:1:pos:R:3 pbc="T T T"
Na -0.0158 1.2998 1.3458
Na -2.0081 3.2130 4.8439
Na 3.1212 5.8127 2.1524
Na 1.1289 7.7259 5.6506
Cu -1.9923 0.0000 3.4982
Cu 0.0000 4.5129 0.0000
Cu 2.5489 0.0000 0.0000
Cu 0.5566 4.5129 3.4982
P -1.4017 6.0925 5.6389
P 0.5906 7.4461 2.1408
P 0.5225 1.5796 4.8556
P 2.5148 2.9332 1.3574
O -2.8810 5.6576 5.8187
O -0.8887 7.8810 2.3205
O -0.9506 5.4429 4.2944
O 1.0417 8.0957 0.7963
O -0.4253 1.2145 3.6922
O 1.5671 3.2984 0.1941
O 0.6365 5.8776 2.0035
O -1.3559 7.6610 5.5017
O 2.4690 1.3648 1.4947
O 0.4766 3.1481 4.9928
O -0.4539 5.7273 6.8023
O 1.5384 7.8113 3.3041
O 0.0714 0.9300 6.2001
O 2.0637 3.5828 2.7019
O 2.0018 1.1447 4.6758
O 3.9941 3.3681 1.1777
```

No. 3
The following is a computed powder X-ray diffraction pattern of Na2CuP2O7. It was derived from a DFT-relaxed cell (GGA-PBE, Alexandria), using Cu Kα, 1.54184 Å.
Peak positions follow from Bragg's law for the DFT cell and can differ from measured ones.

Principal peaks in the range 2θ from 10° to 90°, low angle first:
d_spacing	2θ (°)	I_rel
6.863	12.90	18
5.452	16.26	100
4.488	19.78	60
4.076	21.80	35
3.104	28.76	29
2.961	30.19	37
2.744	32.64	40
2.625	34.16	20
2.563	35.01	34
2.476	36.28	21

Structural model:
```
48
Lattice="5.1350 0.0000 0.0000 0.0000 13.7250 0.0000 -4.6007 0.0000 8.9769" Properties=species:S:1:pos:R:3 pbc="T T T"
Na -1.2888 1.5428 3.2994
Na -3.5891 5.3197 7.7879
Na 1.4368 2.8596 1.3909
Na -0.8635 4.0029 5.8793
Na 1.3979 9.7221 3.0976
Na -0.9025 10.8654 7.5861
Na 4.1235 8.4054 1.1890
Na 1.8231 12.1822 5.6775
Cu -3.2004 2.1024 6.8410
Cu -0.9001 4.7601 2.3525
Cu 1.4345 8.9649 6.6244
Cu 3.7348 11.6226 2.1360
P -1.1035 9.2774 4.8925
P 1.1968 11.3101 0.4040
P -1.1083 7.3500 6.9480
P 1.1921 13.2376 2.4595
P -0.6577 0.4875 6.5174
P 1.6426 6.3750 2.0289
P -0.6624 2.4149 8.5729
P 1.6379 4.4476 4.0844
O -1.3989 9.3465 3.4126
O -3.6992 11.2411 7.9011
O -2.1955 9.9259 5.7832
O 0.1048 10.6616 1.2947
O -2.5788 7.5508 7.3951
O -0.2785 13.0368 2.9067
O -1.5756 1.5500 5.8317
O 0.7247 5.3126 1.3433
O -1.0540 7.7120 5.3383
O 1.2463 12.8756 0.8499
O 1.1758 7.7937 1.8892
O -1.1245 12.7938 6.3777
O -2.0556 3.0083 8.2226
O 0.2448 3.8543 3.7341
O 0.2896 9.8708 5.2428
O 2.5899 10.7168 0.7544
O 1.6589 0.9312 2.5992
O -0.6415 5.9313 7.0877
O -0.7120 0.8495 8.1271
O 1.5884 6.0130 3.6386
O -0.1904 8.4125 7.6337
O 2.1099 12.1751 3.1452
O 0.8129 0.6883 6.0702
O 3.1132 6.1743 1.5818
O 0.4296 3.0634 7.6822
O 2.7299 3.7991 3.1938
O 4.2336 2.4839 1.0758
O 1.9333 4.3786 5.5643
```

No. 4
The following is a computed powder X-ray diffraction pattern of Na2PaCu2O6. It was derived from a DFT-relaxed cell (GGA-PBE, Alexandria), using Cu Kα, 1.54184 Å.
Peak positions follow from Bragg's law for the DFT cell and can differ from measured ones.

Principal peaks in the range 2θ from 10° to 90°, low angle first:
d_spacing	2θ (°)	I_rel
5.654	15.67	100
4.687	18.93	24
3.608	24.67	54
2.827	31.65	17
2.706	33.10	54
2.441	36.82	59
1.955	46.45	64
1.562	59.13	18
1.547	59.80	18
1.506	61.59	16

Structural model:
```
11
Lattice="5.4121 0.0000 0.0000 -2.7060 4.6870 0.0000 0.0000 0.0000 5.6542" Properties=species:S:1:pos:R:3 pbc="T T T"
Na 0.0000 3.1247 0.0000
Na 2.7060 1.5623 0.0000
Pa 0.0000 0.0000 2.8271
Cu 0.0000 3.1247 2.8271
Cu 2.7060 1.5623 2.8271
O -0.9447 1.6362 1.6979
O -1.7614 3.0508 3.9563
O 1.8893 0.0000 1.6979
O 0.9447 1.6362 3.9563
O 3.5227 0.0000 3.9563
O 1.7614 3.0508 1.6979
```